Diffraction record for CeSi2Pd2. The powder XRD pattern is theoretical, not measured: it uses DFT lattice parameters and positions (GGA-PBE) and a wavelength of 1.5418 Å.

Atomic structure:
Cell lengths 4.2002, 4.2002, 10.0611 Å; angles 90.00, 90.00, 90.00 degrees
Space group I4/mmm (No. 139)
One atom of each set of equivalent atoms:
Ce: 0.0000 0.0000 0.0000 x2
Si: 0.0000 0.0000 0.3832 x4
Pd: 0.0000 0.5000 0.2500 x4

Peak list (10 most intense, 10 to 90 degrees two-theta, low angle first)
| d/Å | 2θ/deg | I/Imax | (hkl) |
| --- | --- | --- | --- |
| 3.876 | 22.9 | 20.3 | 1 0 1 |
| 2.621 | 34.2 | 24.5 | 1 0 3 |
| 2.558 | 35.1 | 100.0 | 1 1 2 |
| 2.515 | 35.7 | 16.4 | 0 0 4 |
| 2.100 | 43.1 | 36.4 | 2 0 0 |
| 1.639 | 56.1 | 11.7 | 2 1 3 |
| 1.612 | 57.1 | 16.7 | 2 0 4 |
| 1.485 | 62.5 | 11.8 | 2 2 0 |
| 1.460 | 63.7 | 15.1 | 1 1 6 |
| 1.284 | 73.8 | 22.3 | 3 1 2 |